Sm15Tm2In2: simulated powder diffractogram (Cu Kα (λ = 1.5418 Å)), based on a GGA-PBE-relaxed structure.
Lines closer than 0.1° are merged.

Peak list (12 most intense, 2θ from 10° to 80°, in order of rising 2θ)
Position (°2θ)	I_rel	index
26.61	24	1 2 2
27.54	23	0 2 4
27.92	25	3 0 0
30.51	28	0 0 6
31.56	67	2 0 5
31.90	100	0 3 3
32.35	55	2 2 0
34.64	17	1 1 6
35.89	59	2 2 3
51.97	14	3 3 3
57.20	20	4 2 5
57.70	22	6 0 0

Atomic structure:
```
data_Sm15Tm2In2
_chemical_formula_sum 'Sm45 Tm6 In6'
_cell_length_a 11.0702
_cell_length_b 11.0702
_cell_length_c 17.5773
_cell_angle_alpha 90.00
_cell_angle_beta 90.00
_cell_angle_gamma 120.00
_space_group_name_H-M_alt 'R -3 m'
_space_group_IT_number 166
_space_group_name_Hall '-R 3 2"'
loop_
_atom_site_label
_atom_site_fract_x
_atom_site_fract_y
_atom_site_fract_z
Sm1 0.0000 0.2924 0.0000
Sm2 0.0000 0.5000 0.5000
Sm3 0.0215 0.5107 0.1351
Tm1 0.0000 0.0000 0.3124
In1 0.0000 0.0000 0.0947
```


Sm3Tm3In: simulated powder diffractogram (Cu Kα (λ = 1.5418 Å)), based on a GGA-PBE-relaxed structure.
Lines closer than 0.1° are merged.

Peak list (12 most intense, 2θ from 10° to 80°, in order of rising 2θ)
Position (°2θ)	I_rel	index
26.74	14	0 1 3
29.91	13	3 0 3
30.28	100	3 1 2
31.57	21	4 0 2
32.96	52	0 2 0
33.50	98	1 1 4
39.23	19	3 1 4
46.29	15	4 2 2
57.21	17	3 3 2
59.21	19	1 3 4
61.38	30	7 1 4
63.00	14	4 2 6

Atomic structure:
```
data_Sm3Tm3In
_chemical_formula_sum 'Sm12 Tm12 In4'
_cell_length_a 12.681
_cell_length_b 5.435
_cell_length_c 12.664
_cell_angle_alpha 90.00
_cell_angle_beta 90.00
_cell_angle_gamma 90.00
_space_group_name_H-M_alt 'P n m a'
_space_group_IT_number 62
loop_
_space_group_symop_operation_xyz
'x,y,z'
'-x,-y,-z'
'-x+1/2,-y,z+1/2'
'x+1/2,y,-z+1/2'
'x+1/2,-y+1/2,-z+1/2'
'-x+1/2,y+1/2,z+1/2'
'-x,y+1/2,-z'
'x,-y+1/2,z'
loop_
_atom_site_label
_atom_site_fract_x
_atom_site_fract_y
_atom_site_fract_z
Sm1 0.133 0.250 0.180
Sm2 0.133 0.750 0.818
Sm3 0.217 0.750 0.405
Tm1 0.002 0.750 0.574
Tm2 0.003 0.750 0.059
Tm3 0.217 0.250 0.586
In1 0.006 0.250 0.708
```


SmTm9In2: simulated powder diffractogram (Cu Kα (λ = 1.5418 Å)), based on a GGA-PBE-relaxed structure.
Lines closer than 0.1° are merged.

Peak list (12 most intense, 2θ from 10° to 80°, in order of rising 2θ)
Position (°2θ)	I_rel	index
18.41	1	1 0 0
31.95	100	1 1 3
36.53	17	0 0 6
37.32	33	2 0 0
53.22	23	2 0 6
53.81	12	2 2 0
56.75	1	1 1 8
62.90	14	1 1 9
63.96	27	3 1 3
66.79	12	2 2 6
77.63	2	0 0 12
79.57	4	4 0 0

Atomic structure:
```
data_SmTm9In2
_chemical_formula_sum 'Sm1 Tm9 In2'
_cell_length_a 4.819
_cell_length_b 4.819
_cell_length_c 14.758
_cell_angle_alpha 90.00
_cell_angle_beta 90.00
_cell_angle_gamma 90.00
_space_group_name_H-M_alt 'P 4/m m m'
_space_group_IT_number 123
_space_group_name_Hall '-P 4 2'
loop_
_atom_site_label
_atom_site_fract_x
_atom_site_fract_y
_atom_site_fract_z
Sm1 0.000 0.000 0.000
Tm1 0.000 0.500 0.174
Tm2 0.000 0.500 0.500
Tm3 0.500 0.500 0.000
Tm4 0.500 0.500 0.339
In1 0.000 0.000 0.339
```


SmTm4In2: simulated powder diffractogram (Cu Kα (λ = 1.5418 Å)), based on a GGA-PBE-relaxed structure.
Lines closer than 0.1° are merged.

Peak list (12 most intense, 2θ from 10° to 80°, in order of rising 2θ)
Position (°2θ)	I_rel	index
29.36	51	1 3 1
30.60	100	0 0 4
31.41	33	2 2 0
33.52	15	0 4 0
35.04	57	2 2 2
36.67	54	1 3 3
36.97	22	0 4 2
44.39	20	2 2 4
53.72	27	0 6 2
58.61	24	2 6 0
62.94	15	1 3 7
67.55	24	2 6 4

Atomic structure:
```
data_SmTm4In2
_chemical_formula_sum 'Sm4 Tm16 In8'
_cell_length_a 6.729
_cell_length_b 10.694
_cell_length_c 11.703
_cell_angle_alpha 90.00
_cell_angle_beta 90.00
_cell_angle_gamma 90.00
_space_group_name_H-M_alt 'F m m m'
_space_group_IT_number 69
_space_group_name_Hall '-F 2 2'
loop_
_atom_site_label
_atom_site_fract_x
_atom_site_fract_y
_atom_site_fract_z
Sm1 0.000 0.000 0.000
Tm1 0.000 0.168 0.500
Tm2 0.250 0.250 0.250
In1 0.000 0.000 0.280
```


SmTm6In: simulated powder diffractogram (Cu Kα (λ = 1.5418 Å)), based on a GGA-PBE-relaxed structure.
Lines closer than 0.1° are merged.

Peak list (11 most intense, 2θ from 10° to 80°, in order of rising 2θ)
Position (°2θ)	I_rel	index
18.23	1	1 0 0
31.70	100	1 1 2
36.39	17	0 0 4
36.95	33	2 0 0
52.84	24	2 0 4
53.25	12	2 2 0
62.57	14	1 1 6
63.31	28	3 1 2
66.22	12	2 2 4
77.30	2	0 0 8
78.66	4	4 0 0

Atomic structure:
```
data_SmTm6In
_chemical_formula_sum 'Sm1 Tm6 In1'
_cell_length_a 4.865
_cell_length_b 4.865
_cell_length_c 9.875
_cell_angle_alpha 90.00
_cell_angle_beta 90.00
_cell_angle_gamma 90.00
_space_group_name_H-M_alt 'P 4/m m m'
_space_group_IT_number 123
_space_group_name_Hall '-P 4 2'
loop_
_atom_site_label
_atom_site_fract_x
_atom_site_fract_y
_atom_site_fract_z
Sm1 0.000 0.000 0.000
Tm1 0.000 0.500 0.257
Tm2 0.500 0.500 0.000
Tm3 0.500 0.500 0.500
In1 0.000 0.000 0.500
```


SmTm5In6: simulated powder diffractogram (Cu Kα (λ = 1.5418 Å)), based on a GGA-PBE-relaxed structure.
Lines closer than 0.1° are merged.

Peak list (11 most intense, 2θ from 10° to 80°, in order of rising 2θ)
Position (°2θ)	I_rel	index
23.81	3	0 0 2
33.93	100	2 0 0
41.88	1	2 0 2
48.69	12	2 6 0
48.86	6	0 0 4
54.91	1	2 6 2
55.04	1	1 3 4
60.68	24	3 3 2
60.79	12	2 0 4
71.32	4	4 0 0
71.45	7	2 6 4

Atomic structure:
```
data_SmTm5In6
_chemical_formula_sum 'Sm2 Tm10 In12'
_cell_length_a 5.289
_cell_length_b 15.873
_cell_length_c 7.456
_cell_angle_alpha 90.00
_cell_angle_beta 90.00
_cell_angle_gamma 90.00
_space_group_name_H-M_alt 'C m m m'
_space_group_IT_number 65
_space_group_name_Hall '-C 2 2'
loop_
_atom_site_label
_atom_site_fract_x
_atom_site_fract_y
_atom_site_fract_z
Sm1 0.000 0.000 0.000
Tm1 0.000 0.000 0.500
Tm2 0.000 0.332 0.000
Tm3 0.000 0.336 0.500
In1 0.000 0.169 0.254
In2 0.000 0.500 0.254
```


Which formula does entry 4 have?
SmTm4In2